Calculated X-ray powder pattern
Compound: LaSmHo
Radiation: CuKα
Structure: a structure optimized by DFT (GGA-PBE)

Principal peaks in the range 2θ from 10° to 90°, sorted by position:
2theta	I (rel.)	h k l
31.1	100	1 1 0
31.2	89	1 0 1
40.5	11	1 1 1
44.6	33	0 2 1
55.3	55	3 0 0
61.9	28	1 1 2
64.8	12	2 2 0
73.6	15	1 3 1
79.4	14	3 0 2
87.7	11	2 2 2

Cell and atoms:
Unit cell a=5.7579 b=5.7579 c=3.5090 alpha=90.00 beta=90.00 gamma=120.00
Space group P3m1 (No. 156)
Inequivalent atoms, fractional coordinates:
La  0.0000  0.0000  0.0000 x1
Sm  0.3333  0.6667  0.5008 x1
Ho  0.6667  0.3333  0.0023 x1


Calculated X-ray powder pattern
Compound: La6Sm12Ho
Radiation: CuKα
Structure: a structure optimized by DFT (GGA-PBE)

Principal peaks in the range 2θ from 10° to 90°, sorted by position:
2theta	I (rel.)	h k l
22.8	16	3 -1 1
30.5	33	0 1 5
30.8	100	4 -3 1
32.3	50	2 1 4
32.5	24	3 1 2
34.1	13	4 -2 3
44.0	14	3 2 4
53.6	16	2 5 0
54.6	10	6 -2 5
56.8	15	1 5 5

Cell and atoms:
Unit cell a=12.3237 b=12.3237 c=15.2152 alpha=90.00 beta=90.00 gamma=120.00
Space group R-3 (No. 148, hexagonal axes)
Inequivalent atoms, fractional coordinates:
La  0.0123  0.5920  0.1852 x18
Sm  0.0015  0.8308  0.3101 x18
Sm  0.0503  0.1956  0.9165 x18
Ho  0.0000  0.0000  0.5000 x3


Calculated X-ray powder pattern
Compound: LaSm5Ho
Radiation: CuKα
Structure: a structure optimized by DFT (GGA-PBE)

Principal peaks in the range 2θ from 10° to 90°, sorted by position:
2theta	I (rel.)	h k l
22.9	15	0 1 1
30.1	25	1 -2 1
31.1	17	2 0 -1
31.6	100	1 1 -2
31.7	79	1 -1 2
33.1	13	1 1 1
34.3	28	2 -2 0
43.3	10	1 1 2
47.4	18	1 -3 2
56.5	19	2 0 -4

Cell and atoms:
Unit cell a=6.303 b=6.305 c=7.011 alpha=99.42 beta=99.56 gamma=111.95
Space group P1 (No. 1)
Inequivalent atoms, fractional coordinates:
La  0.000  0.000  0.000 x1
Sm  0.093  0.527  0.272 x1
Sm  0.472  0.907  0.728 x1
Sm  0.500  0.500  0.000 x1
Sm  0.528  0.093  0.272 x1
Sm  0.907  0.473  0.728 x1
Ho  0.001  0.001  0.500 x1


Calculated X-ray powder pattern
Compound: La2Tb2SmHo
Radiation: CuKα
Structure: a structure optimized by DFT (GGA-PBE)

Principal peaks in the range 2θ from 10° to 90°, sorted by position:
2theta	I (rel.)	h k l
30.9	92	2 0 2
31.2	100	0 2 0
40.4	11	2 2 0
44.5	34	2 2 2
55.4	35	2 3 1
55.6	19	0 3 3
61.3	29	4 2 0
65.1	12	0 4 0
73.8	10	2 4 2
79.0	14	4 3 3

Cell and atoms:
Unit cell a=7.121 b=5.735 c=9.915 alpha=90.00 beta=90.00 gamma=90.00
Space group Pmma (No. 51)
Inequivalent atoms, fractional coordinates:
La  0.000  0.000  0.000 x2
La  0.250  0.500  0.177 x2
Tb  0.250  0.000  0.334 x2
Tb  0.250  0.500  0.834 x2
Sm  0.250  0.000  0.659 x2
Ho  0.000  0.500  0.500 x2


Calculated X-ray powder pattern
Compound: LaTbSm2Ho
Radiation: CuKα
Structure: a structure optimized by DFT (GGA-PBE)

Principal peaks in the range 2θ from 10° to 90°, sorted by position:
2theta	I (rel.)	h k l
20.5	13	0 0 2
25.9	22	0 1 2
30.9	100	1 1 1
31.7	35	0 2 0
32.1	16	1 0 2
34.9	21	0 1 3
35.9	17	1 1 2
51.7	14	1 2 3
55.9	17	1 3 1
61.5	17	1 1 5

Cell and atoms:
Unit cell a=3.654 b=5.652 c=8.650 alpha=90.00 beta=90.00 gamma=90.00
Space group Pmmm (No. 47)
Inequivalent atoms, fractional coordinates:
La  0.000  0.000  0.000 x1
Tb  0.500  0.500  0.000 x1
Sm  0.000  0.500  0.322 x2
Ho  0.500  0.000  0.500 x1


Calculated X-ray powder pattern
Compound: La2TbSm2Ho
Radiation: CuKα
Structure: a structure optimized by DFT (GGA-PBE)

Principal peaks in the range 2θ from 10° to 90°, sorted by position:
2theta	I (rel.)	h k l
30.9	92	2 1 1
31.1	100	0 2 0
44.4	34	2 2 2
55.2	35	2 3 1
55.4	19	0 3 3
61.3	29	4 2 0
64.9	12	0 4 0
73.6	15	2 4 2
78.9	14	4 3 3
87.2	11	4 4 0

Cell and atoms:
Unit cell a=7.121 b=5.745 c=9.951 alpha=90.00 beta=90.00 gamma=90.00
Space group Pmma (No. 51)
Inequivalent atoms, fractional coordinates:
La  0.000  0.000  0.000 x2
La  0.250  0.500  0.177 x2
Tb  0.250  0.000  0.658 x2
Sm  0.250  0.000  0.333 x2
Sm  0.250  0.500  0.834 x2
Ho  0.000  0.500  0.500 x2


Calculated X-ray powder pattern
Compound: La4TbSmHo2
Radiation: CuKα
Structure: a structure optimized by DFT (GGA-PBE)

Principal peaks in the range 2θ from 10° to 90°, sorted by position:
2theta	I (rel.)	h k l
30.0	100	1 1 2
34.1	18	0 2 0
34.3	17	2 0 0
35.8	16	0 0 4
49.2	13	2 2 0
50.3	12	0 2 4
58.5	15	1 3 2
58.8	15	3 1 2
60.8	13	1 1 6
62.3	12	2 2 4

Cell and atoms:
Unit cell a=5.222 b=5.256 c=10.031 alpha=90.00 beta=90.00 gamma=90.00
Space group Pmmm (No. 47)
Inequivalent atoms, fractional coordinates:
La  0.000  0.000  0.249 x2
La  0.500  0.500  0.249 x2
Tb  0.000  0.500  0.000 x1
Sm  0.500  0.000  0.500 x1
Ho  0.000  0.500  0.500 x1
Ho  0.500  0.000  0.000 x1


Calculated X-ray powder pattern
Compound: La2Tb2SmHo4
Radiation: CuKα
Structure: a structure optimized by DFT (GGA-PBE)

Principal peaks in the range 2θ from 10° to 90°, sorted by position:
2theta	I (rel.)	h k l
28.7	36	6 0 -1
29.3	21	6 0 -2
31.0	52	0 0 3
31.7	100	3 1 -2
33.4	95	3 1 1
50.4	41	0 2 0
54.4	20	3 1 -5
57.7	21	3 1 4
60.3	47	9 1 1
86.2	20	9 1 4

Cell and atoms:
Unit cell a=18.805 b=3.626 c=9.613 alpha=90.00 beta=115.74 gamma=90.00
Space group C2/m (No. 12)
Inequivalent atoms, fractional coordinates:
La  0.166  0.000  0.000 x4
Tb  0.147  0.500  0.662 x4
Sm  0.000  0.500  0.000 x2
Ho  0.020  0.000  0.337 x4
Ho  0.186  0.500  0.338 x4


Calculated X-ray powder pattern
Compound: La2TbSmHo4
Radiation: CuKα
Structure: a structure optimized by DFT (GGA-PBE)

Principal peaks in the range 2θ from 10° to 90°, sorted by position:
2theta	I (rel.)	h k l
30.4	100	4 0 0
30.6	33	0 0 4
35.3	67	2 2 2
50.7	24	0 4 0
50.9	24	4 0 4
60.3	14	4 4 0
60.4	29	6 2 2
60.6	14	2 2 6
63.3	12	8 0 0
82.6	12	10 2 -2

Cell and atoms:
Unit cell a=12.474 b=7.205 c=12.401 alpha=90.00 beta=109.59 gamma=90.00
Space group C2/m (No. 12)
Inequivalent atoms, fractional coordinates:
La  0.000  0.000  0.000 x2
La  0.000  0.000  0.500 x2
La  0.250  0.250  0.000 x4
Tb  0.250  0.250  0.500 x4
Sm  0.000  0.500  0.000 x2
Sm  0.000  0.500  0.500 x2
Ho  0.001  0.251  0.252 x8
Ho  0.249  0.500  0.747 x4
Ho  0.250  0.000  0.748 x4


Calculated X-ray powder pattern
Compound: LaTb4Sm2Ho
Radiation: CuKα
Structure: a structure optimized by DFT (GGA-PBE)

Principal peaks in the range 2θ from 10° to 90°, sorted by position:
2theta	I (rel.)	h k l
30.4	100	4 0 0
35.2	34	2 2 2
35.4	17	4 0 -4
50.6	6	0 4 0
50.8	30	6 2 -2
60.3	29	6 2 2
60.5	14	8 0 -4
63.3	9	8 0 0
82.7	9	8 4 -4
85.3	8	8 4 0

Cell and atoms:
Unit cell a=12.436 b=7.209 c=12.436 alpha=90.00 beta=109.31 gamma=90.00
Space group C2/m (No. 12)
Inequivalent atoms, fractional coordinates:
La  0.250  0.250  0.000 x4
Tb  0.001  0.250  0.251 x8
Tb  0.249  0.000  0.747 x4
Tb  0.249  0.500  0.748 x4
Sm  0.000  0.500  0.000 x2
Sm  0.000  0.500  0.500 x2
Sm  0.250  0.250  0.500 x4
Ho  0.000  0.000  0.000 x2
Ho  0.000  0.000  0.500 x2


Calculated X-ray powder pattern
Compound: LaSmHoTe3
Radiation: CuKα
Structure: a structure optimized by DFT (GGA-PBE)

Principal peaks in the range 2θ from 10° to 90°, sorted by position:
2theta	I (rel.)	h k l
26.5	35	0 1 2
26.9	38	1 1 -2
29.1	68	2 1 -1
29.6	100	2 1 0
30.3	54	1 0 3
31.2	32	2 1 -2
32.3	87	1 1 -3
33.1	41	1 0 -4
37.1	42	2 1 2
41.1	79	0 2 0

Cell and atoms:
Unit cell a=8.644 b=4.387 c=10.842 alpha=90.00 beta=105.41 gamma=90.00
Space group P2_1/m (No. 11)
Inequivalent atoms, fractional coordinates:
La  0.191  0.250  0.218 x2
Sm  0.336  0.750  0.909 x2
Ho  0.154  0.250  0.621 x2
Te  0.083  0.250  0.889 x2
Te  0.220  0.750  0.453 x2
Te  0.485  0.750  0.210 x2


Calculated X-ray powder pattern
Compound: LaSm3HoTm
Radiation: CuKα
Structure: a structure optimized by DFT (GGA-PBE)

Principal peaks in the range 2θ from 10° to 90°, sorted by position:
2theta	I (rel.)	h k l
29.6	63	5 1 -1
30.0	60	5 1 1
30.6	16	1 1 2
31.1	100	0 2 0
32.9	44	3 1 -2
33.3	53	3 1 2
34.5	46	7 1 0
53.2	17	0 0 4
54.3	18	8 0 3
62.9	21	0 2 4

Cell and atoms:
Unit cell a=20.411 b=5.759 c=6.884 alpha=90.00 beta=91.10 gamma=90.00
Space group C2/m (No. 12)
Inequivalent atoms, fractional coordinates:
La  0.145  0.000  0.024 x4
Sm  0.020  0.000  0.743 x4
Sm  0.159  0.500  0.736 x4
Sm  0.220  0.500  0.257 x4
Ho  0.144  0.000  0.469 x4
Tm  0.057  0.500  0.275 x4